# 1
This entry pairs a crystal structure of Nd3Zn2In with its computed powder X-ray diffraction pattern. Radiation: Cu Kα (weighted mean of Kα1 and Kα2). Structure: a DFT-relaxed cell (PBE, Alexandria).

Main lines, by angle (2θ = 5–70°):
33.5 deg, rel. 100
34.4 deg, rel. 49
46.7 deg, rel. 10
49.4 deg, rel. 18
59.3 deg, rel. 17
61.0 deg, rel. 36

Structure:
```
Nd3Zn2In
1.0
3.688 0.000 0.000
0.000 3.688 0.000
0.000 0.000 11.669
Nd Zn In
3 2 1
direct
0.000 0.000 0.000
0.000 0.000 0.315
0.000 0.000 0.685
0.500 0.500 0.155
0.500 0.500 0.845
0.500 0.500 0.500
```

=====

# 2
This entry pairs a crystal structure of Al4CuPd7 with its computed powder X-ray diffraction pattern. Radiation: Cu Kα (weighted mean of Kα1 and Kα2). Structure: a DFT-relaxed cell (PBE, Alexandria).

Main lines, by angle (2θ = 5–70°):
28.5 deg, rel. 100
32.0 deg, rel. 62
39.6 deg, rel. 62
41.8 deg, rel. 38
42.5 deg, rel. 67
44.2 deg, rel. 54

Structure:
```
Al4CuPd7
1.0
5.899 -2.278 0.000
5.899 2.278 0.000
-5.348 0.000 7.189
Al Cu Pd
4 1 7
direct
0.076 0.076 0.287
0.212 0.212 0.838
0.788 0.788 0.162
0.924 0.924 0.713
0.500 0.500 0.500
0.000 0.000 0.500
0.147 0.147 0.075
0.287 0.287 0.632
0.423 0.423 0.169
0.577 0.577 0.831
0.713 0.713 0.368
0.853 0.853 0.925
```

=====

# 3
This entry pairs a crystal structure of Na3B20 with its computed powder X-ray diffraction pattern. Radiation: Cu Kα (weighted mean of Kα1 and Kα2). Structure: a DFT-relaxed cell (PBE, Alexandria).

Main lines, by angle (2θ = 5–70°):
30.3 deg, rel. 100
31.4 deg, rel. 28
36.1 deg, rel. 78
38.3 deg, rel. 65
43.8 deg, rel. 28
68.7 deg, rel. 33

Structure:
```
Na3B20
1.0
2.853 -9.333 0.000
2.853 9.333 0.000
0.000 0.000 4.138
Na B
3 20
direct
0.000 0.000 0.000
0.364 0.636 0.000
0.636 0.364 0.000
0.026 0.431 0.500
0.034 0.265 0.500
0.174 0.826 0.208
0.174 0.826 0.792
0.256 0.744 0.500
0.265 0.034 0.500
0.297 0.391 0.500
0.391 0.297 0.500
0.431 0.026 0.500
0.500 0.500 0.201
0.500 0.500 0.799
0.569 0.974 0.500
0.609 0.703 0.500
0.703 0.609 0.500
0.735 0.966 0.500
0.744 0.256 0.500
0.826 0.174 0.208
0.826 0.174 0.792
0.966 0.735 0.500
0.974 0.569 0.500
```

=====

# 4
This entry pairs a crystal structure of OsRh5 with its computed powder X-ray diffraction pattern. Radiation: Cu Kα (weighted mean of Kα1 and Kα2). Structure: a DFT-relaxed cell (PBE, Alexandria).

Main lines, by angle (2θ = 5–70°):
15.4 deg, rel. 5
40.7 deg, rel. 100
47.2 deg, rel. 16
47.4 deg, rel. 32
69.1 deg, rel. 20
69.2 deg, rel. 10

Structure:
```
OsRh5
1.0
1.920 -5.755 0.000
1.920 5.755 0.000
0.000 0.000 3.851
Os Rh
1 5
direct
0.000 0.000 0.000
0.165 0.835 0.500
0.338 0.662 0.000
0.500 0.500 0.500
0.662 0.338 0.000
0.835 0.165 0.500
```